CaEuHfZrO6: calculated X-ray powder pattern (Cu Kα), based on a GGA-PBE-relaxed structure.

The 6 most intense peaks (5 to 70 degrees two-theta), sorted by position:
(hkl)  2θ (°)  I/Imax
1 1 1  18.52  22
2 2 0  30.47  100
3 1 1  35.90  13
4 0 0  43.64  31
4 2 2  54.16  40
4 4 0  63.42  19

Structure:
Lattice parameters (Å, degrees): 8.2969 8.2969 8.2969 90.00 90.00 90.00
Space group F-43m (No. 216)
Inequivalent atoms, fractional coordinates:
Ca1 0.0000 0.0000 0.0000 x4
Eu1 0.0000 0.0000 0.5000 x4
Hf1 0.2500 0.2500 0.7500 x4
Zr1 0.2500 0.2500 0.2500 x4
O1 0.0018 0.2500 0.7500 x24



CaEuHg2: calculated X-ray powder pattern (Cu Kα), based on a GGA-PBE-relaxed structure.

The 6 most intense peaks (5 to 70 degrees two-theta), sorted by position:
(hkl)  2θ (°)  I/Imax
1 1 1  19.79  7
2 0 0  22.89  14
2 2 0  32.59  100
4 0 0  46.75  18
4 2 2  58.15  38
4 4 0  68.27  12

Structure:
Lattice parameters (Å, degrees): 7.7720 7.7720 7.7720 90.00 90.00 90.00
Space group Fm-3m (No. 225)
Inequivalent atoms, fractional coordinates:
Ca1 0.0000 0.0000 0.0000 x4
Eu1 0.0000 0.0000 0.5000 x4
Hg1 0.2500 0.2500 0.2500 x8



CaEuIn2: calculated X-ray powder pattern (Cu Kα), based on a GGA-PBE-relaxed structure.

The 6 most intense peaks (5 to 70 degrees two-theta), sorted by position:
(hkl)  2θ (°)  I/Imax
1 1 1  19.37  14
2 2 0  31.88  100
3 1 1  37.58  9
4 0 0  45.71  18
4 2 2  56.81  37
4 4 0  66.64  11

Structure:
Lattice parameters (Å, degrees): 7.9390 7.9390 7.9390 90.00 90.00 90.00
Space group Fm-3m (No. 225)
Inequivalent atoms, fractional coordinates:
Ca1 0.0000 0.0000 0.0000 x4
Eu1 0.0000 0.0000 0.5000 x4
In1 0.2500 0.2500 0.2500 x8